Record 1
Theoretical X-ray diffraction stick pattern
Compound: OsRuW
Radiation: Cu Kα X-rays
Structure: DFT lattice parameters and positions (GGA-PBE)
Lines closer than 0.1° are merged.

Peak list (8 most intense, 10° ≤ 2θ ≤ 80°, by angle)
- (1 1 1), 33.54 deg, d = 2.672 Å, rel. 6
- (1 3 1), 40.06 deg, d = 2.251 Å, rel. 100
- (0 6 0), 46.13 deg, d = 1.968 Å, rel. 17
- (0 0 2), 46.66 deg, d = 1.947 Å, rel. 16
- (2 0 0), 47.01 deg, d = 1.933 Å, rel. 16
- (0 6 2), 67.70 deg, d = 1.384 Å, rel. 11
- (2 6 0), 67.98 deg, d = 1.379 Å, rel. 10
- (2 0 2), 68.39 deg, d = 1.372 Å, rel. 10

Cell and atoms:
Lattice parameters (Å, degrees): 3.866 11.807 3.893 90.00 90.00 90.00
Space group Cmcm (No. 63)
Unique sites:
Os  0.000  0.086  0.250 x4
Ru  0.000  0.250  0.750 x4
W  0.000  0.412  0.250 x4

Record 2
Theoretical X-ray diffraction stick pattern
Compound: Zn3OsRu
Radiation: Cu Kα X-rays
Structure: DFT lattice parameters and positions (GGA-PBE)
Lines closer than 0.1° are merged.

Peak list (8 most intense, 10° ≤ 2θ ≤ 80°, by angle)
- (1 0 0), 18.86 deg, d = 4.706 Å, rel. 54
- (1 1 0), 26.79 deg, d = 3.328 Å, rel. 95
- (2 0 0), 38.25 deg, d = 2.353 Å, rel. 100
- (2 1 0), 42.97 deg, d = 2.105 Å, rel. 27
- (2 1 1), 47.31 deg, d = 1.921 Å, rel. 41
- (2 2 0), 55.20 deg, d = 1.664 Å, rel. 68
- (2 2 2), 69.14 deg, d = 1.359 Å, rel. 22
- (3 2 1), 75.60 deg, d = 1.258 Å, rel. 21

Cell and atoms:
Lattice parameters (Å, degrees): 4.706 4.706 4.706 90.00 90.00 90.00
Space group Pm-3m (No. 221)
Unique sites:
Zn  0.000  0.000  0.500 x3
Os  0.000  0.000  0.000 x1
Ru  0.500  0.500  0.500 x1